# 1
Na2PuPb9: theoretical XRD peak list (Cu Kα X-rays), based on a crystal structure in Alexandria, relaxed with PBE.
Intensities are scaled so that the largest is 100.

Top 8 peaks for 2θ = 10–90°, in order of rising 2θ:
(1 1 3), 31.6°, I = 100; (0 0 6), 36.3°, I = 17; (2 0 0), 36.7°, I = 34; (2 0 6), 52.6°, I = 24; (1 1 9), 62.4°, I = 15; (3 1 3), 62.9°, I = 29; (2 2 6), 65.9°, I = 13; (3 1 9), 86.2°, I = 13

Atomic structure:
Unit cell a=4.8942 b=4.8942 c=14.8328 alpha=90.00 beta=90.00 gamma=90.00
Space group P4/mmm (No. 123)
Inequivalent atoms, fractional coordinates:
Na 0.0000 0.0000 0.1708
Pu 0.0000 0.0000 0.5000
Pb 0.0000 0.5000 0.0000
Pb 0.0000 0.5000 0.3342
Pb 0.5000 0.5000 0.1656
Pb 0.5000 0.5000 0.5000



# 2
Na2PuSb2Pb: theoretical XRD peak list (Cu Kα X-rays), based on a crystal structure in Alexandria, relaxed with PBE.
Intensities are scaled so that the largest is 100.

Top 8 peaks for 2θ = 10–90°, in order of rising 2θ:
(1 2 0), 25.1°, I = 33; (1 0 2), 31.2°, I = 37; (0 2 2), 32.5°, I = 50; (1 1 2), 32.7°, I = 89; (1 3 0), 33.0°, I = 100; (2 0 0), 33.6°, I = 49; (2 2 2), 47.4°, I = 35; (0 6 0), 58.4°, I = 28

Atomic structure:
Unit cell a=5.3316 b=9.4735 c=6.7852 alpha=90.00 beta=90.00 gamma=90.00
Space group Pmc2_1 (No. 26)
Inequivalent atoms, fractional coordinates:
Na 0.0000 0.0176 0.0000
Na 0.5000 0.1552 0.2642
Pu 0.5000 0.4887 0.9852
Sb 0.0000 0.3362 0.2359
Sb 0.5000 0.1772 0.7548
Pb 0.0000 0.3276 0.7046



# 3
Na2PuPbSe4: theoretical XRD peak list (Cu Kα X-rays), based on a crystal structure in Alexandria, relaxed with PBE.
Intensities are scaled so that the largest is 100.

Top 8 peaks for 2θ = 10–90°, in order of rising 2θ:
(1 0 0), 12.8°, I = 64; (0 1 1), 24.4°, I = 25; (1 1 1), 29.6°, I = 100; (3 0 -2), 38.9°, I = 17; (1 1 -3), 42.0°, I = 25; (0 2 0), 42.5°, I = 13; (3 1 -1), 42.6°, I = 24; (2 2 -2), 52.6°, I = 13

Atomic structure:
Unit cell a=7.3423 b=4.2579 c=7.4698 alpha=90.00 beta=109.43 gamma=90.00
Space group P2/m (No. 10)
Inequivalent atoms, fractional coordinates:
Na 0.0000 0.0000 0.0000
Na 0.0000 0.5000 0.5000
Pu 0.5000 0.0000 0.5000
Pb 0.5000 0.5000 0.0000
Se 0.2642 0.0000 0.7301
Se 0.2707 0.5000 0.2728



# 4
Rb2Na2Pb15: theoretical XRD peak list (Cu Kα X-rays), based on a crystal structure in Alexandria, relaxed with PBE.
Intensities are scaled so that the largest is 100.

Top 8 peaks for 2θ = 10–90°, in order of rising 2θ:
(1 1 0), 15.5°, I = 54; (0 0 6), 30.9°, I = 34; (0 3 3), 31.1°, I = 100; (1 1 6), 34.7°, I = 17; (2 2 3), 34.9°, I = 79; (0 3 9), 55.1°, I = 13; (6 0 0), 55.5°, I = 15; (6 0 6), 64.9°, I = 15

Atomic structure:
Unit cell a=11.4659 b=11.4659 c=17.3587 alpha=90.00 beta=90.00 gamma=120.00
Space group R-3m (No. 166, hexagonal axes)
Inequivalent atoms, fractional coordinates:
Rb 0.0000 0.0000 0.1556
Na 0.0000 0.0000 0.3975
Pb 0.0000 0.2956 0.5000
Pb 0.0000 0.5000 0.0000
Pb 0.0043 0.5022 0.6505



# 5
RbNa7Pb3: theoretical XRD peak list (Cu Kα X-rays), based on a crystal structure in Alexandria, relaxed with PBE.
Intensities are scaled so that the largest is 100.

Top 8 peaks for 2θ = 10–90°, in order of rising 2θ:
(2 0 0), 16.3°, I = 100; (0 2 1), 22.6°, I = 90; (2 2 -1), 22.7°, I = 89; (2 0 -2), 29.7°, I = 47; (0 4 0), 30.3°, I = 34; (2 2 1), 32.5°, I = 59; (4 2 -1), 32.7°, I = 59; (2 4 0), 34.6°, I = 37

Atomic structure:
Unit cell a=12.3613 b=11.8054 c=6.0228 alpha=90.00 beta=118.59 gamma=90.00
Space group C2/m (No. 12)
Inequivalent atoms, fractional coordinates:
Rb 0.0000 0.0000 0.0000
Na 0.0000 0.0000 0.5000
Na 0.1500 0.5000 0.6474
Na 0.1974 0.3043 0.1984
Pb 0.0000 0.2657 0.5000
Pb 0.0000 0.5000 0.0000



# 6
RbNaPb: theoretical XRD peak list (Cu Kα X-rays), based on a crystal structure in Alexandria, relaxed with PBE.
Intensities are scaled so that the largest is 100.

Top 8 peaks for 2θ = 10–90°, in order of rising 2θ:
(1 1 0), 12.4°, I = 29; (0 2 0), 14.6°, I = 35; (1 1 1), 20.2°, I = 29; (0 2 1), 21.7°, I = 100; (2 0 1), 25.7°, I = 30; (3 1 0), 31.1°, I = 26; (3 1 1), 35.1°, I = 33; (3 3 1), 41.1°, I = 52

Atomic structure:
Unit cell a=8.8836 b=12.1152 c=5.5710 alpha=90.00 beta=90.00 gamma=90.00
Space group Cmmm (No. 65)
Inequivalent atoms, fractional coordinates:
Rb 0.0000 0.2111 0.0000
Na 0.0000 0.0000 0.5000
Na 0.0000 0.5000 0.0000
Pb 0.1657 0.5000 0.5000



# 7
RbNa2Pb4: theoretical XRD peak list (Cu Kα X-rays), based on a crystal structure in Alexandria, relaxed with PBE.
Intensities are scaled so that the largest is 100.

Top 8 peaks for 2θ = 10–90°, in order of rising 2θ:
(1 1 0), 12.9°, I = 86; (1 1 1), 21.2°, I = 37; (2 1 1), 26.6°, I = 34; (3 1 0), 29.0°, I = 36; (2 2 1), 31.0°, I = 100; (3 1 1), 33.7°, I = 62; (0 0 2), 34.0°, I = 32; (3 1 2), 45.3°, I = 22

Atomic structure:
Unit cell a=9.7289 b=9.7289 c=5.2746 alpha=90.00 beta=90.00 gamma=90.00
Space group P4_2/mnm (No. 136)
Inequivalent atoms, fractional coordinates:
Rb 0.0000 0.0000 0.0000
Na 0.2157 0.2157 0.5000
Pb 0.0920 0.6362 0.5000



# 8
RbNa6Pb6: theoretical XRD peak list (Cu Kα X-rays), based on a crystal structure in Alexandria, relaxed with PBE.
Intensities are scaled so that the largest is 100.

Top 8 peaks for 2θ = 10–90°, in order of rising 2θ:
(0 2 0), 16.2°, I = 100; (1 2 1), 22.1°, I = 30; (2 0 2), 30.2°, I = 73; (0 0 4), 31.5°, I = 57; (0 4 0), 32.8°, I = 30; (2 2 2), 34.5°, I = 88; (0 2 4), 35.6°, I = 38; (2 4 2), 45.2°, I = 43

Atomic structure:
Unit cell a=6.9141 b=10.9361 c=11.3822 alpha=90.00 beta=90.00 gamma=90.00
Space group Immm (No. 71)
Inequivalent atoms, fractional coordinates:
Rb 0.0000 0.0000 0.0000
Na 0.0000 0.0000 0.3460
Na 0.0000 0.3334 0.0000
Na 0.0000 0.5000 0.2998
Pb 0.0000 0.2765 0.5000
Pb 0.2500 0.2500 0.2500



# 9
RbNaPbS2: theoretical XRD peak list (Cu Kα X-rays), based on a crystal structure in Alexandria, relaxed with PBE.
Intensities are scaled so that the largest is 100.

Top 8 peaks for 2θ = 10–90°, in order of rising 2θ:
(2 0 -1), 14.1°, I = 61; (0 0 2), 18.9°, I = 51; (1 1 0), 19.8°, I = 53; (1 1 -1), 21.7°, I = 75; (4 0 -1), 24.0°, I = 47; (4 0 1), 25.7°, I = 100; (3 1 2), 33.1°, I = 50; (1 1 -3), 34.5°, I = 49

Atomic structure:
Unit cell a=15.5729 b=4.6820 c=9.4466 alpha=90.00 beta=95.49 gamma=90.00
Space group C2/m (No. 12)
Inequivalent atoms, fractional coordinates:
Rb 0.1794 0.0000 0.1678
Na 0.1910 0.0000 0.5573
Pb 0.0578 0.5000 0.7050
S 0.1286 0.5000 0.4484
S 0.1458 0.0000 0.8231



# 10
RbNaPbSe2: theoretical XRD peak list (Cu Kα X-rays), based on a crystal structure in Alexandria, relaxed with PBE.
Intensities are scaled so that the largest is 100.

Top 8 peaks for 2θ = 10–90°, in order of rising 2θ:
(2 0 -1), 13.4°, I = 87; (1 1 0), 19.1°, I = 53; (1 1 -1), 20.9°, I = 75; (4 0 1), 24.7°, I = 100; (2 0 -3), 28.4°, I = 61; (3 1 2), 31.9°, I = 66; (1 1 -3), 33.0°, I = 72; (0 2 0), 37.1°, I = 52

Atomic structure:
Unit cell a=16.2316 b=4.8513 c=9.8477 alpha=90.00 beta=96.32 gamma=90.00
Space group C2/m (No. 12)
Inequivalent atoms, fractional coordinates:
Rb 0.1808 0.0000 0.1682
Na 0.1895 0.0000 0.5554
Pb 0.0597 0.5000 0.6966
Se 0.1284 0.5000 0.4344
Se 0.1450 0.0000 0.8231



# 11
Na2RhPb6: theoretical XRD peak list (Cu Kα X-rays), based on a crystal structure in Alexandria, relaxed with PBE.
Intensities are scaled so that the largest is 100.

Top 8 peaks for 2θ = 10–90°, in order of rising 2θ:
(0 2 0), 11.5°, I = 40; (0 3 1), 19.9°, I = 15; (0 5 1), 30.6°, I = 19; (1 0 2), 31.3°, I = 100; (0 6 0), 34.7°, I = 13; (0 3 3), 35.0°, I = 26; (1 5 1), 39.2°, I = 20; (2 0 0), 48.9°, I = 11

Atomic structure:
Unit cell a=3.7254 b=15.4915 c=8.8650 alpha=90.00 beta=90.00 gamma=90.00
Space group Amm2 (No. 38)
Inequivalent atoms, fractional coordinates:
Na 0.0000 0.1681 0.0000
Rh 0.5000 0.0000 0.5000
Pb 0.0000 0.0000 0.7511
Pb 0.0000 0.1240 0.3742
Pb 0.5000 0.0000 0.1521
Pb 0.5000 0.1718 0.6723



# 12
Na2RhPb5: theoretical XRD peak list (Cu Kα X-rays), based on a crystal structure in Alexandria, relaxed with PBE.
Intensities are scaled so that the largest is 100.

Top 8 peaks for 2θ = 10–90°, in order of rising 2θ:
(0 0 1), 17.2°, I = 53; (1 1 0), 17.7°, I = 19; (2 1 0), 28.2°, I = 30; (2 0 1), 30.7°, I = 100; (0 0 2), 34.8°, I = 30; (2 2 0), 35.9°, I = 46; (2 2 1), 40.1°, I = 19; (2 2 2), 50.9°, I = 35

Atomic structure:
Unit cell a=7.0753 b=7.0753 c=5.1515 alpha=90.00 beta=90.00 gamma=90.00
Space group P4/mmm (No. 123)
Inequivalent atoms, fractional coordinates:
Na 0.0000 0.5000 0.0000
Rh 0.0000 0.0000 0.5000
Pb 0.0000 0.0000 0.0000
Pb 0.2790 0.2790 0.5000